Entry 1:
For Cu8O7, DFT lattice parameters and positions (PBE) gives the computed X-ray powder pattern in this record (a wavelength of 1.5418 Å).
No peak broadening, texture or thermal motion is included.

Most intense lines, 2θ = 10–90°, by angle:
| 2θ (°) | I/Imax |
| --- | --- |
| 35.00 | 100.0 |
| 35.52 | 30.2 |
| 35.93 | 95.5 |
| 43.79 | 34.3 |
| 56.31 | 16.5 |
| 57.60 | 29.7 |
| 58.87 | 13.7 |
| 62.85 | 16.1 |
| 63.65 | 21.7 |
| 64.65 | 13.5 |

Cell and atoms:
a = 5.8500 Å, b = 5.8500 Å, c = 6.4015 Å
α = 115.73°, β = 115.73°, γ = 89.96°
Atoms (fractional coordinates):
Cu1 0.0053 0.0053 0.2588
Cu2 0.0054 0.4969 0.2587
Cu3 0.0045 0.5040 0.7645
Cu4 0.4919 0.4971 0.2270
Cu5 0.4960 0.9955 0.2355
Cu6 0.5029 0.5081 0.7730
Cu7 0.5031 0.9946 0.7413
Cu8 0.9947 0.9947 0.7412
O1 0.1344 0.8656 0.5000
O2 0.1426 0.3822 0.5307
O3 0.3690 0.1283 0.9912
O4 0.6178 0.8574 0.4693
O5 0.6231 0.3769 0.5000
O6 0.8717 0.6310 0.0088
O7 0.8726 0.1274 0.0000

Entry 2:
For Cu8O7, DFT lattice parameters and positions (PBE) gives the computed X-ray powder pattern in this record (a wavelength of 1.5418 Å).
No peak broadening, texture or thermal motion is included.

Most intense lines, 2θ = 10–90°, by angle:
| 2θ (°) | I/Imax |
| --- | --- |
| 35.47 | 0.9 |
| 37.10 | 90.6 |
| 43.10 | 100.0 |
| 47.19 | 1.6 |
| 57.00 | 1.0 |
| 62.60 | 57.4 |
| 75.06 | 32.6 |
| 79.03 | 17.8 |
| 81.97 | 0.7 |
| 89.72 | 1.1 |

Cell and atoms:
a = 5.9359 Å, b = 5.9359 Å, c = 5.9359 Å
α = 60.00°, β = 60.00°, γ = 60.00°
Atoms (fractional coordinates):
Cu1 0.2424 0.2424 0.7576
Cu2 0.2424 0.7576 0.2424
Cu3 0.2424 0.7576 0.7576
Cu4 0.2500 0.2500 0.2500
Cu5 0.7500 0.7500 0.7500
Cu6 0.7576 0.2424 0.2424
Cu7 0.7576 0.2424 0.7576
Cu8 0.7576 0.7576 0.2424
O1 0.0000 0.0000 0.5000
O2 0.0000 0.5000 0.0000
O3 0.0000 0.5000 0.5000
O4 0.5000 0.0000 0.0000
O5 0.5000 0.0000 0.5000
O6 0.5000 0.5000 0.0000
O7 0.5000 0.5000 0.5000

Entry 3:
For Cu4O3, DFT lattice parameters and positions (PBE) gives the computed X-ray powder pattern in this record (a wavelength of 1.5418 Å).
No peak broadening, texture or thermal motion is included.

Most intense lines, 2θ = 10–90°, by angle:
| 2θ (°) | I/Imax |
| --- | --- |
| 30.25 | 2.7 |
| 35.44 | 100.0 |
| 36.54 | 15.7 |
| 43.30 | 19.3 |
| 57.92 | 29.1 |
| 62.91 | 11.1 |
| 65.06 | 15.1 |
| 74.33 | 19.7 |
| 75.00 | 7.2 |
| 77.65 | 2.7 |

Cell and atoms:
a = 6.4538 Å, b = 6.4538 Å, c = 6.4538 Å
α = 125.50°, β = 125.50°, γ = 80.70°
Atoms (fractional coordinates):
Cu1 0.0000 0.0000 0.0000
Cu2 0.0000 0.0000 0.5000
Cu3 0.0000 0.5000 0.0000
Cu4 0.0000 0.5000 0.5000
Cu5 0.5000 0.0000 0.0000
Cu6 0.5000 0.0000 0.5000
Cu7 0.5000 0.5000 0.0000
Cu8 0.5000 0.5000 0.5000
O1 0.1120 0.3620 0.7500
O2 0.3620 0.1120 0.2500
O3 0.3750 0.6250 0.7500
O4 0.6250 0.3750 0.2500
O5 0.6380 0.8880 0.7500
O6 0.8880 0.6380 0.2500

Entry 4:
For CuO2, DFT lattice parameters and positions (PBE) gives the computed X-ray powder pattern in this record (a wavelength of 1.5418 Å).
No peak broadening, texture or thermal motion is included.

Most intense lines, 2θ = 10–90°, by angle:
| 2θ (°) | I/Imax |
| --- | --- |
| 13.16 | 100.0 |
| 15.90 | 34.8 |
| 20.70 | 37.8 |
| 26.50 | 18.8 |
| 31.05 | 13.6 |
| 37.05 | 5.6 |
| 40.21 | 5.7 |
| 41.39 | 6.8 |
| 43.50 | 5.1 |
| 46.90 | 6.6 |

Cell and atoms:
a = 6.8668 Å, b = 6.8668 Å, c = 11.1457 Å
α = 90.00°, β = 90.00°, γ = 23.11°
Atoms (fractional coordinates):
Cu1 0.1225 0.8775 0.7500
Cu2 0.8775 0.1225 0.2500
O1 0.3721 0.6279 0.1432
O2 0.3721 0.6279 0.3568
O3 0.6279 0.3721 0.6432
O4 0.6279 0.3721 0.8568

Entry 5:
For Cu5O7, DFT lattice parameters and positions (PBE) gives the computed X-ray powder pattern in this record (a wavelength of 1.5418 Å).
No peak broadening, texture or thermal motion is included.

Most intense lines, 2θ = 10–90°, by angle:
| 2θ (°) | I/Imax |
| --- | --- |
| 33.58 | 36.5 |
| 35.22 | 100.0 |
| 35.46 | 28.8 |
| 36.57 | 32.7 |
| 37.96 | 31.1 |
| 42.72 | 55.7 |
| 44.27 | 52.8 |
| 44.53 | 29.2 |
| 46.36 | 36.3 |
| 62.63 | 30.7 |

Cell and atoms:
a = 5.1267 Å, b = 5.1267 Å, c = 17.8794 Å
α = 90.00°, β = 90.00°, γ = 146.94°
Atoms (fractional coordinates):
Cu1 0.0000 0.0000 0.0000
Cu2 0.0000 0.0000 0.5000
Cu3 0.2674 0.7326 0.5746
Cu4 0.2674 0.7326 0.9254
Cu5 0.4680 0.5320 0.1552
Cu6 0.4680 0.5320 0.3448
Cu7 0.5320 0.4680 0.6552
Cu8 0.5320 0.4680 0.8448
Cu9 0.7326 0.2674 0.0746
Cu10 0.7326 0.2674 0.4254
O1 0.0829 0.9171 0.1011
O2 0.0829 0.9171 0.3989
O3 0.1582 0.8418 0.6586
O4 0.1582 0.8418 0.8414
O5 0.3587 0.6413 0.0230
O6 0.3587 0.6413 0.4770
O7 0.4534 0.5466 0.7500
O8 0.5466 0.4534 0.2500
O9 0.6413 0.3587 0.5230
O10 0.6413 0.3587 0.9770
O11 0.8418 0.1582 0.1586
O12 0.8418 0.1582 0.3414
O13 0.9171 0.0829 0.6011
O14 0.9171 0.0829 0.8989

Entry 6:
For Cu4O3, DFT lattice parameters and positions (PBE) gives the computed X-ray powder pattern in this record (a wavelength of 1.5418 Å).
No peak broadening, texture or thermal motion is included.

Most intense lines, 2θ = 10–90°, by angle:
| 2θ (°) | I/Imax |
| --- | --- |
| 28.53 | 13.3 |
| 36.78 | 100.0 |
| 38.36 | 30.6 |
| 44.77 | 59.8 |
| 53.95 | 7.2 |
| 60.39 | 28.6 |
| 65.18 | 17.1 |
| 68.33 | 9.5 |
| 77.24 | 21.4 |
| 78.23 | 12.3 |

Cell and atoms:
a = 4.0484 Å, b = 4.0484 Å, c = 9.3865 Å
α = 90.00°, β = 90.00°, γ = 90.00°
Atoms (fractional coordinates):
Cu1 0.2500 0.2500 0.2040
Cu2 0.2500 0.2500 0.7634
Cu3 0.2500 0.7500 0.0000
Cu4 0.2500 0.7500 0.5000
Cu5 0.7500 0.2500 0.0000
Cu6 0.7500 0.2500 0.5000
Cu7 0.7500 0.7500 0.2366
Cu8 0.7500 0.7500 0.7960
O1 0.2500 0.2500 0.5081
O2 0.2500 0.7500 0.2028
O3 0.2500 0.7500 0.7972
O4 0.7500 0.2500 0.2028
O5 0.7500 0.2500 0.7972
O6 0.7500 0.7500 0.4919

Entry 7:
For Cu6O, DFT lattice parameters and positions (PBE) gives the computed X-ray powder pattern in this record (a wavelength of 1.5418 Å).
No peak broadening, texture or thermal motion is included.

Most intense lines, 2θ = 10–90°, by angle:
| 2θ (°) | I/Imax |
| --- | --- |
| 11.62 | 100.0 |
| 14.54 | 28.6 |
| 18.30 | 11.0 |
| 20.40 | 13.1 |
| 21.55 | 9.0 |
| 23.36 | 20.4 |
| 23.83 | 8.9 |
| 35.61 | 10.8 |
| 38.63 | 9.2 |
| 42.24 | 8.9 |

Cell and atoms:
a = 5.6311 Å, b = 5.6311 Å, c = 30.4674 Å
α = 90.00°, β = 90.00°, γ = 130.48°
Atoms (fractional coordinates):
Cu1 0.0000 0.0000 0.2499
Cu2 0.0000 0.0000 0.7501
Cu3 0.1199 0.3978 0.0000
Cu4 0.3978 0.1199 0.0000
Cu5 0.6022 0.8801 0.0000
Cu6 0.8801 0.6022 0.0000
O1 0.0000 0.0000 0.0000

Entry 8:
For Cu2P2O7, DFT lattice parameters and positions (PBE) gives the computed X-ray powder pattern in this record (a wavelength of 1.5418 Å).
No peak broadening, texture or thermal motion is included.

Most intense lines, 2θ = 10–90°, by angle:
| 2θ (°) | I/Imax |
| --- | --- |
| 20.34 | 13.1 |
| 27.03 | 100.0 |
| 29.88 | 73.4 |
| 30.26 | 39.4 |
| 34.60 | 20.7 |
| 35.45 | 20.9 |
| 43.73 | 21.1 |
| 46.17 | 17.2 |
| 59.63 | 20.5 |
| 69.98 | 13.0 |

Cell and atoms:
a = 5.4542 Å, b = 5.4542 Å, c = 9.3771 Å
α = 103.90°, β = 103.90°, γ = 97.61°
Atoms (fractional coordinates):
Cu1 0.1617 0.7888 0.5087
Cu2 0.2112 0.8383 0.9913
Cu3 0.7888 0.1617 0.0087
Cu4 0.8383 0.2112 0.4913
P1 0.2992 0.3217 0.2929
P2 0.3217 0.2992 0.7929
P3 0.6783 0.7008 0.2071
P4 0.7008 0.6783 0.7071
O1 0.1243 0.4354 0.3859
O2 0.1285 0.1300 0.1378
O3 0.1300 0.1285 0.6378
O4 0.1899 0.4884 0.8770
O5 0.4354 0.1243 0.8859
O6 0.4395 0.5605 0.2500
O7 0.4884 0.1899 0.3770
O8 0.5116 0.8101 0.6230
O9 0.5605 0.4395 0.7500
O10 0.5646 0.8757 0.1141
O11 0.8101 0.5116 0.1230
O12 0.8700 0.8715 0.3622
O13 0.8715 0.8700 0.8622
O14 0.8757 0.5646 0.6141